Structure and computed powder X-ray diffraction pattern of Mn4BiSb3 (a structure optimized by DFT (GGA-PBE); Cu Ka).
No peak broadening, texture or thermal motion is included.

Cell and atoms:
```
Mn4BiSb3
1.0
4.1643 0.0000 0.0000
0.0000 5.6633 0.0000
0.0000 0.0000 7.1880
Mn Bi Sb
4 1 3
direct
0.0000 0.2444 0.0000
0.0000 0.7556 0.0000
0.5000 0.2467 0.4851
0.5000 0.7533 0.4851
0.5000 0.5000 0.8253
0.0000 0.0000 0.6597
0.0000 0.5000 0.3268
0.5000 0.0000 0.1576
```

Peak list (10 most intense, 10° ≤ 2θ ≤ 90°, low angle first)
2θ 29.4, intensity 1000; 2θ 40.5, intensity 449; 2θ 43.5, intensity 146; 2θ 43.6, intensity 289; 2θ 53.4, intensity 129; 2θ 54.8, intensity 91; 2θ 54.9, intensity 172; 2θ 61.0, intensity 85; 2θ 71.3, intensity 106; 2θ 82.4, intensity 131